Computed X-ray diffraction stick pattern
Compound: Na8SnHg3
Radiation: a wavelength of 1.5418 Å
Structure: a crystal structure in Alexandria, relaxed with PBE
No peak broadening, texture or thermal motion is included.

Crystal structure
```
12
Lattice="6.0898 -5.2711 0.0000 6.0898 5.2711 0.0000 -3.3213 0.0000 5.8264" Properties=species:S:1:pos:R:3 pbc="T T T"
Na 0.0000 0.0000 0.0000
Na -0.5178 2.2257 5.4272
Na 1.5530 0.0000 2.8332
Na -0.5178 -2.2257 5.4272
Na 6.0483 0.0000 0.3224
Na 4.9902 0.0000 3.4531
Na 8.1291 1.9226 3.0221
Na 8.1291 -1.9226 3.0221
Sn 9.2209 0.0000 0.6602
Hg -1.4852 0.0000 3.4127
Hg 5.2134 2.7188 1.8064
Hg 5.2134 -2.7188 1.8064
```

The 10 most intense peaks (10 to 90 degrees two-theta), by angle:
d_spacing, I/Imax
7.468, 93
5.826, 73
5.500, 100
5.290, 74
3.806, 68
2.739, 79
2.646, 60
2.635, 69
2.550, 74
2.438, 65

***

Computed X-ray diffraction stick pattern
Compound: Ba2Sc2O5
Radiation: a wavelength of 1.5418 Å
Structure: a crystal structure in Alexandria, relaxed with PBE
No peak broadening, texture or thermal motion is included.

Crystal structure
```
18
Lattice="-8.2548 3.0650 2.9872 8.2548 -3.0650 2.9872 8.2548 3.0650 -2.9872" Properties=species:S:1:pos:R:3 pbc="T T T"
Ba 1.8089 0.0932 0.0000
Ba 6.4459 0.0932 0.0000
Ba 1.8089 2.9717 2.9872
Ba 6.4459 2.9717 2.9872
Sc 4.1274 -0.4246 3.1586
Sc 0.0000 0.0000 2.9703
Sc 8.2548 0.0000 2.9703
Sc 4.1274 3.4895 0.1714
O 12.3822 0.9530 -0.8944
O 2.2772 2.7691 -0.0858
O 5.9776 2.7691 -0.0858
O -0.1223 1.5520 1.4867
O 8.3771 1.5520 1.4867
O 2.2772 0.2958 2.9014
O 5.9776 0.2958 2.9014
O -4.1274 2.1120 2.0928
O 0.1223 4.5779 1.4867
O -0.1223 1.5130 4.4739
```

The 10 most intense peaks (10 to 90 degrees two-theta), by angle:
d_spacing, I/Imax
4.278, 31
3.065, 33
2.987, 36
2.970, 100
2.461, 18
2.420, 17
2.314, 17
2.139, 34
1.751, 19
1.721, 21

***

Computed X-ray diffraction stick pattern
Compound: Fe13Co3
Radiation: a wavelength of 1.5418 Å
Structure: a crystal structure in Alexandria, relaxed with PBE
No peak broadening, texture or thermal motion is included.

Crystal structure
```
16
Lattice="5.6972 0.0000 0.0000 0.0000 5.6972 0.0000 0.0000 0.0000 5.6801" Properties=species:S:1:pos:R:3 pbc="T T T"
Fe 0.0000 0.0000 0.0000
Fe 0.0000 2.8486 0.0000
Fe 0.0000 2.8486 2.8401
Fe 1.4273 1.4273 1.4241
Fe 1.4273 1.4273 4.2560
Fe 1.4273 4.2699 1.4241
Fe 1.4273 4.2699 4.2560
Fe 2.8486 0.0000 0.0000
Fe 2.8486 0.0000 2.8401
Fe 4.2699 1.4273 1.4241
Fe 4.2699 1.4273 4.2560
Fe 4.2699 4.2699 1.4241
Fe 4.2699 4.2699 4.2560
Co 0.0000 0.0000 2.8401
Co 2.8486 2.8486 0.0000
Co 2.8486 2.8486 2.8401
```

The 5 most intense peaks (10 to 90 degrees two-theta), by angle:
d_spacing, I/Imax
2.012, 100
1.424, 10
1.420, 5
1.162, 19
1.161, 9

***

Computed X-ray diffraction stick pattern
Compound: LaZrCu
Radiation: a wavelength of 1.5418 Å
Structure: a crystal structure in Alexandria, relaxed with PBE
No peak broadening, texture or thermal motion is included.

Crystal structure
```
6
Lattice="3.4493 0.0000 0.0000 0.0000 5.0933 0.0000 -1.7225 0.0000 8.1131" Properties=species:S:1:pos:R:3 pbc="T T T"
La 0.0043 1.2733 1.2209
La 1.7225 3.8200 6.8922
Zr -0.0001 3.8200 3.8120
Zr 1.7269 1.2733 4.3011
Cu 0.0020 1.2733 6.4183
Cu 1.7248 3.8200 1.6948
```

The 10 most intense peaks (10 to 90 degrees two-theta), by angle:
d_spacing, I/Imax
3.173, 19
2.704, 24
2.547, 28
2.526, 100
1.924, 9
1.854, 16
1.535, 9
1.525, 11
1.466, 18
1.428, 9

***

Computed X-ray diffraction stick pattern
Compound: Dy2Ga5Ni4
Radiation: a wavelength of 1.5418 Å
Structure: a crystal structure in Alexandria, relaxed with PBE
No peak broadening, texture or thermal motion is included.

Crystal structure
```
11
Lattice="0.0000 4.4667 7.6722 2.6258 0.0000 7.6722 2.6258 4.4667 0.0000" Properties=species:S:1:pos:R:3 pbc="T T T"
Dy 2.6258 4.4667 2.0165
Dy 2.6258 4.4667 13.3280
Ga 1.3129 2.2333 0.0000
Ga 1.3129 2.2333 3.8361
Ga 1.3129 2.2333 7.6722
Ga 2.6258 4.4667 7.6722
Ga 3.9387 6.7000 11.5084
Ni 2.6258 3.0703 5.6703
Ni 2.6258 3.0703 9.6742
Ni 2.6258 5.8630 5.6703
Ni 2.6258 5.8630 9.6742
```

The 10 most intense peaks (10 to 90 degrees two-theta), by angle:
d_spacing, I/Imax
3.390, 46
2.910, 66
2.554, 54
2.311, 100
2.264, 59
2.167, 96
1.979, 36
1.918, 44
1.673, 24
1.463, 28

***

Computed X-ray diffraction stick pattern
Compound: CdMoSe2Br
Radiation: a wavelength of 1.5418 Å
Structure: a crystal structure in Alexandria, relaxed with PBE
No peak broadening, texture or thermal motion is included.

Crystal structure
```
5
Lattice="4.7812 0.0000 0.0000 0.0000 4.7812 0.0000 0.0000 0.0000 5.8583" Properties=species:S:1:pos:R:3 pbc="T T T"
Cd 0.0000 0.0000 0.0000
Mo 0.0000 0.0000 2.9291
Se 0.0000 2.3906 2.9291
Se 2.3906 0.0000 2.9291
Br 2.3906 2.3906 0.0000
```

The 10 most intense peaks (10 to 90 degrees two-theta), by angle:
d_spacing, I/Imax
4.781, 25
3.381, 11
2.929, 100
2.391, 49
1.852, 45
1.691, 27
1.464, 39
1.249, 12
1.195, 12
1.107, 23

***

Computed X-ray diffraction stick pattern
Compound: LiSc3Cd7
Radiation: a wavelength of 1.5418 Å
Structure: a crystal structure in Alexandria, relaxed with PBE
No peak broadening, texture or thermal motion is included.

Crystal structure
```
22
Lattice="1.6647 -9.7812 0.0000 1.6647 9.7812 0.0000 0.0000 0.0000 14.9816" Properties=species:S:1:pos:R:3 pbc="T T T"
Li 1.6647 7.5553 11.2362
Li 1.6647 -7.5553 3.7454
Sc 1.6647 8.5617 1.4035
Sc 1.6647 8.5617 6.0873
Sc 1.6647 3.1939 11.2362
Sc 1.6647 -3.1939 3.7454
Sc 1.6647 -8.5617 8.8943
Sc 1.6647 -8.5617 13.5781
Cd 1.6647 4.2581 2.2992
Cd 1.6647 4.2581 5.1916
Cd 1.6647 3.6712 8.1357
Cd 1.6647 3.6712 14.3367
Cd 1.6647 1.3977 1.2729
Cd 1.6647 1.3977 6.2179
Cd 1.6647 0.2144 11.2362
Cd 1.6647 -0.2144 3.7454
Cd 1.6647 -1.3977 8.7637
Cd 1.6647 -1.3977 13.7087
Cd 1.6647 -3.6712 0.6449
Cd 1.6647 -3.6712 6.8459
Cd 1.6647 -4.2581 9.7900
Cd 1.6647 -4.2581 12.6824
```

The 10 most intense peaks (10 to 90 degrees two-theta), by angle:
d_spacing, I/Imax
3.494, 32
3.282, 63
2.552, 100
2.536, 38
2.499, 35
2.459, 36
2.417, 61
2.261, 35
2.213, 50
2.108, 31